(1)
AuO2F6: simulated powder XRD pattern (copper Kα), based on a DFT-relaxed cell (GGA-PBE, the Materials Project).

```
data_AuO2F6
_chemical_formula_sum 'Au1 O2 F6'
_space_group_name_H-M_alt 'P 1'
_space_group_IT_number 1
_cell_length_a 5.2534
_cell_length_b 5.7942
_cell_length_c 5.7987
_cell_angle_alpha 89.37
_cell_angle_beta 73.06
_cell_angle_gamma 75.76
loop_
_space_group_symop_operation_xyz
'x,y,z'
loop_
_atom_site_label
_atom_site_type_symbol
_atom_site_fract_x
_atom_site_fract_y
_atom_site_fract_z
_atom_site_occupancy
Au1 Au 0.0000 0.0000 0.0000 1
O1 O 0.2950 0.2944 0.3862 1
O2 O 0.7307 0.6840 0.6137 1
F1 F 0.0969 0.3761 0.2795 1
F2 F 0.2414 0.0312 0.6821 1
F3 F 0.3082 0.7721 0.0623 1
F4 F 0.6917 0.2292 0.9387 1
F5 F 0.7623 0.9642 0.3179 1
F6 F 0.9319 0.6027 0.7175 1
```

Principal peaks in the range 5° ≤ 2θ ≤ 70°, sorted by position:
(0 1 0), d = 5.604 Å, intensity 100
(0 0 1), d = 5.535 Å, intensity 81
(1 0 0), d = 4.861 Å, intensity 84
(1 0 1), d = 4.351 Å, intensity 36
(1 1 0), d = 4.244 Å, intensity 32
(0 1 -1), d = 4.074 Å, intensity 62
(0 1 1), d = 3.815 Å, intensity 32
(1 1 1), d = 3.773 Å, intensity 91
(1 1 -1), d = 3.070 Å, intensity 32
(1 2 0), d = 2.748 Å, intensity 30
(1 2 1), d = 2.570 Å, intensity 37
(1 1 -2), d = 2.122 Å, intensity 49

(2)
La3BeGaS7: simulated powder XRD pattern (copper Kα), based on a DFT-relaxed cell (GGA-PBE, the Materials Project).

```
data_La3BeGaS7
_chemical_formula_sum 'La6 Be2 Ga2 S14'
_space_group_name_H-M_alt 'P 63'
_space_group_IT_number 173
_cell_length_a 10.2571
_cell_length_b 10.2571
_cell_length_c 5.8792
_cell_angle_alpha 90.00
_cell_angle_beta 90.00
_cell_angle_gamma 120.00
loop_
_space_group_symop_operation_xyz
'x,y,z'
'x-y,x,z+1/2'
'-y,x-y,z'
'-x,-y,z+1/2'
'-x+y,-x,z'
'y,-x+y,z+1/2'
loop_
_atom_site_label
_atom_site_type_symbol
_atom_site_fract_x
_atom_site_fract_y
_atom_site_fract_z
_atom_site_occupancy
La1 La 0.1297 0.7608 0.0000 1
Be1 Be 0.0000 0.0000 0.2670 1
Ga1 Ga 0.3333 0.6667 0.4182 1
S1 S 0.0752 0.8596 0.5132 1
S2 S 0.0998 0.5131 0.2668 1
S3 S 0.3333 0.6667 0.7967 1
```

Principal peaks in the range 5° ≤ 2θ ≤ 70°, sorted by position:
(2 0 0), d = 4.441 Å, intensity 25
(1 1 1), d = 3.865 Å, intensity 37
(2 0 1), d = 3.544 Å, intensity 100
(2 1 0), d = 3.357 Å, intensity 23
(0 0 2), d = 2.940 Å, intensity 22
(3 0 1), d = 2.645 Å, intensity 27
(2 2 0), d = 2.564 Å, intensity 21
(1 3 0), d = 2.464 Å, intensity 28
(2 0 2), d = 2.451 Å, intensity 25
(1 3 1), d = 2.272 Å, intensity 43
(2 1 2), d = 2.212 Å, intensity 34
(4 1 1), d = 1.841 Å, intensity 22

(3)
Ta3C: simulated powder XRD pattern (copper Kα), based on a DFT-relaxed cell (GGA-PBE, the Materials Project).

```
data_Ta3C
_chemical_formula_sum 'Ta6 C2'
_space_group_name_H-M_alt 'P 63/m m c'
_space_group_IT_number 194
_space_group_name_Hall '-P 6c 2c'
_cell_length_a 5.4482
_cell_length_b 5.4482
_cell_length_c 4.7032
_cell_angle_alpha 90.00
_cell_angle_beta 90.00
_cell_angle_gamma 120.00
loop_
_atom_site_label
_atom_site_type_symbol
_atom_site_fract_x
_atom_site_fract_y
_atom_site_fract_z
_atom_site_occupancy
Ta1 Ta 0.1674 0.3348 0.2500 1
C1 C 0.3333 0.6667 0.7500 1
```

Principal peaks in the range 5° ≤ 2θ ≤ 70°, sorted by position:
(1 0 0), d = 4.718 Å, intensity 11
(1 0 1), d = 3.331 Å, intensity 32
(1 1 0), d = 2.724 Å, intensity 13
(2 0 0), d = 2.359 Å, intensity 22
(0 0 2), d = 2.352 Å, intensity 30
(2 0 1), d = 2.109 Å, intensity 100
(2 1 0), d = 1.783 Å, intensity 2
(1 1 2), d = 1.780 Å, intensity 7
(2 0 2), d = 1.666 Å, intensity 24
(3 0 0), d = 1.573 Å, intensity 3
(1 0 3), d = 1.488 Å, intensity 3
(2 2 0), d = 1.362 Å, intensity 16

(4)
GaAgSnSe4: simulated powder XRD pattern (copper Kα), based on a DFT-relaxed cell (GGA-PBE, the Materials Project).

```
data_GaAgSnSe4
_chemical_formula_sum 'Ga2 Ag2 Sn2 Se8'
_space_group_name_H-M_alt 'I -4'
_space_group_IT_number 82
_cell_length_a 6.0383
_cell_length_b 6.0383
_cell_length_c 10.9690
_cell_angle_alpha 90.00
_cell_angle_beta 90.00
_cell_angle_gamma 90.00
loop_
_space_group_symop_operation_xyz
'x,y,z'
'y,-x,-z'
'-x,-y,z'
'-y,x,-z'
'x+1/2,y+1/2,z+1/2'
'y+1/2,-x+1/2,-z+1/2'
'-x+1/2,-y+1/2,z+1/2'
'-y+1/2,x+1/2,-z+1/2'
loop_
_atom_site_label
_atom_site_type_symbol
_atom_site_fract_x
_atom_site_fract_y
_atom_site_fract_z
_atom_site_occupancy
Ga1 Ga 0.0000 0.0000 0.0000 1
Ag1 Ag 0.0000 0.5000 0.2500 1
Sn1 Sn 0.0000 0.5000 0.7500 1
Se1 Se 0.2439 0.2564 0.8907 1
```

Principal peaks in the range 5° ≤ 2θ ≤ 70°, sorted by position:
(1 0 1), d = 5.290 Å, intensity 9
(1 1 0), d = 4.270 Å, intensity 12
(1 1 2), d = 3.369 Å, intensity 100
(2 0 2), d = 2.645 Å, intensity 13
(1 1 4), d = 2.307 Å, intensity 7
(2 2 0), d = 2.135 Å, intensity 28
(2 0 4), d = 2.030 Å, intensity 45
(3 1 2), d = 1.803 Å, intensity 33
(1 1 6), d = 1.681 Å, intensity 11
(3 1 4), d = 1.567 Å, intensity 4
(4 0 0), d = 1.510 Å, intensity 9
(3 3 2), d = 1.378 Å, intensity 7

(5)
MnFeSi2: simulated powder XRD pattern (copper Kα), based on a DFT-relaxed cell (GGA-PBE, the Materials Project).

```
data_MnFeSi2
_chemical_formula_sum 'Mn2 Fe2 Si4'
_space_group_name_H-M_alt 'P 1 21 1'
_space_group_IT_number 4
_cell_length_a 4.4821
_cell_length_b 4.4861
_cell_length_c 4.4873
_cell_angle_alpha 90.00
_cell_angle_beta 90.23
_cell_angle_gamma 90.00
loop_
_space_group_symop_operation_xyz
'x,y,z'
'-x,y+1/2,-z'
loop_
_atom_site_label
_atom_site_type_symbol
_atom_site_fract_x
_atom_site_fract_y
_atom_site_fract_z
_atom_site_occupancy
Mn1 Mn 0.1345 0.0000 0.1111 1
Fe1 Fe 0.3608 0.7269 0.6144 1
Si1 Si 0.1606 0.2065 0.5930 1
Si2 Si 0.3467 0.5199 0.0940 1
```

Principal peaks in the range 5° ≤ 2θ ≤ 70°, sorted by position:
(1 1 0), d = 3.173 Å, intensity 28
(1 0 1), d = 3.165 Å, intensity 7
(1 1 -1), d = 2.590 Å, intensity 29
(0 0 2), d = 2.243 Å, intensity 11
(1 0 -2), d = 2.007 Å, intensity 100
(2 1 0), d = 2.004 Å, intensity 83
(2 1 -1), d = 1.833 Å, intensity 45
(2 1 1), d = 1.829 Å, intensity 47
(2 2 -1), d = 1.497 Å, intensity 3
(1 3 -1), d = 1.353 Å, intensity 10
(1 1 3), d = 1.352 Å, intensity 7
(3 1 1), d = 1.350 Å, intensity 4

(6)
BaAg: simulated powder XRD pattern (copper Kα), based on a DFT-relaxed cell (GGA-PBE, the Materials Project).

```
data_BaAg
_chemical_formula_sum 'Ba4 Ag4'
_space_group_name_H-M_alt 'P n m a'
_space_group_IT_number 62
_cell_length_a 8.7947
_cell_length_b 5.0215
_cell_length_c 6.7466
_cell_angle_alpha 90.00
_cell_angle_beta 90.00
_cell_angle_gamma 90.00
loop_
_space_group_symop_operation_xyz
'x,y,z'
'-x,-y,-z'
'-x+1/2,-y,z+1/2'
'x+1/2,y,-z+1/2'
'x+1/2,-y+1/2,-z+1/2'
'-x+1/2,y+1/2,z+1/2'
'-x,y+1/2,-z'
'x,-y+1/2,z'
loop_
_atom_site_label
_atom_site_type_symbol
_atom_site_fract_x
_atom_site_fract_y
_atom_site_fract_z
_atom_site_occupancy
Ba1 Ba 0.1808 0.2500 0.1331 1
Ag1 Ag 0.0338 0.2500 0.6170 1
```

Principal peaks in the range 5° ≤ 2θ ≤ 70°, sorted by position:
(1 0 1), d = 5.353 Å, intensity 21
(1 1 1), d = 3.662 Å, intensity 33
(2 1 0), d = 3.308 Å, intensity 71
(1 0 2), d = 3.150 Å, intensity 58
(2 1 1), d = 2.970 Å, intensity 86
(3 0 1), d = 2.689 Å, intensity 44
(1 1 2), d = 2.668 Å, intensity 100
(0 2 0), d = 2.511 Å, intensity 46
(4 0 1), d = 2.090 Å, intensity 21
(1 2 2), d = 1.963 Å, intensity 30
(2 1 3), d = 1.860 Å, intensity 22
(3 2 1), d = 1.835 Å, intensity 27

(7)
Y3MgP3O12: simulated powder XRD pattern (copper Kα), based on a DFT-relaxed cell (GGA-PBE, the Materials Project).

```
data_Y3MgP3O12
_chemical_formula_sum 'Y6 Mg2 P6 O24'
_space_group_name_H-M_alt 'C 2 2 2'
_space_group_IT_number 21
_cell_length_a 7.0841
_cell_length_b 12.1425
_cell_length_c 6.2953
_cell_angle_alpha 90.00
_cell_angle_beta 90.00
_cell_angle_gamma 90.00
loop_
_space_group_symop_operation_xyz
'x,y,z'
'-x,-y,z'
'x,-y,-z'
'-x,y,-z'
'x+1/2,y+1/2,z'
'-x+1/2,-y+1/2,z'
'x+1/2,-y+1/2,-z'
'-x+1/2,y+1/2,-z'
loop_
_atom_site_label
_atom_site_type_symbol
_atom_site_fract_x
_atom_site_fract_y
_atom_site_fract_z
_atom_site_occupancy
Y1 Y 0.0000 0.0000 0.0000 1
Y2 Y 0.2500 0.2500 0.6686 1
Mg1 Mg 0.0000 0.5000 0.5000 1
P1 P 0.0000 0.0000 0.5000 1
P2 P 0.2500 0.2500 0.1651 1
O1 O 0.0830 0.2732 0.3176 1
O2 O 0.1214 0.0702 0.6534 1
O3 O 0.2092 0.1523 0.0125 1
```

Principal peaks in the range 5° ≤ 2θ ≤ 70°, sorted by position:
(1 1 0), d = 6.119 Å, intensity 78
(0 2 0), d = 6.071 Å, intensity 38
(1 1 1), d = 4.385 Å, intensity 46
(2 2 0), d = 3.060 Å, intensity 100
(0 4 0), d = 3.036 Å, intensity 47
(0 2 2), d = 2.797 Å, intensity 94
(3 3 1), d = 1.940 Å, intensity 19
(3 1 2), d = 1.866 Å, intensity 19
(2 4 2), d = 1.860 Å, intensity 26
(1 5 2), d = 1.856 Å, intensity 18
(3 3 2), d = 1.712 Å, intensity 22
(0 6 2), d = 1.702 Å, intensity 15

(8)
Sm3Ga: simulated powder XRD pattern (copper Kα), based on a DFT-relaxed cell (GGA-PBE, the Materials Project).

```
data_Sm3Ga
_chemical_formula_sum 'Sm3 Ga1'
_space_group_name_H-M_alt 'P m -3 m'
_space_group_IT_number 221
_space_group_name_Hall '-P 4 2 3'
_cell_length_a 4.8059
_cell_length_b 4.8059
_cell_length_c 4.8059
_cell_angle_alpha 90.00
_cell_angle_beta 90.00
_cell_angle_gamma 90.00
loop_
_atom_site_label
_atom_site_type_symbol
_atom_site_fract_x
_atom_site_fract_y
_atom_site_fract_z
_atom_site_occupancy
Sm1 Sm 0.0000 0.0000 0.5000 1
Ga1 Ga 0.5000 0.5000 0.5000 1
```

Principal peaks in the range 5° ≤ 2θ ≤ 70°, sorted by position:
(1 0 0), d = 4.806 Å, intensity 6
(1 1 0), d = 3.398 Å, intensity 5
(1 1 1), d = 2.775 Å, intensity 100
(2 0 0), d = 2.403 Å, intensity 50
(2 1 0), d = 2.149 Å, intensity 3
(2 1 1), d = 1.962 Å, intensity 2
(2 2 0), d = 1.699 Å, intensity 35
(3 0 0), d = 1.602 Å, intensity 2
(3 1 0), d = 1.520 Å, intensity 1
(3 1 1), d = 1.449 Å, intensity 41
(2 2 2), d = 1.387 Å, intensity 12